Record 1
Theoretical PXRD pattern of TbCe2P3 for Cu Kα, 1.54184 Å, from DFT lattice parameters and positions (GGA-PBE).

Top 8 peaks for 2θ = 10–80°, most intense first:
two_theta  I_rel
31.1  100
26.8  80
44.5  73
52.8  39
73.6  33
55.3  25
71.5  16
64.8  12

Cell and atoms:
```
TbCe2P3
1.0
5.7562 0.0000 0.0000
0.0000 12.2009 0.0000
-0.0002 0.0000 8.1356
Tb Ce P
4 8 12
direct
0.2497 0.0834 0.1238
0.2497 0.4166 0.6238
0.7503 0.5834 0.3762
0.7503 0.9166 0.8762
0.2497 0.0831 0.6262
0.2497 0.4169 0.1262
0.2506 0.7494 0.1250
0.2506 0.7506 0.6250
0.7494 0.2494 0.3750
0.7494 0.2506 0.8750
0.7503 0.5831 0.8738
0.7503 0.9169 0.3738
0.2494 0.2499 0.3750
0.2494 0.2501 0.8750
0.2503 0.5833 0.3758
0.2503 0.5828 0.8734
0.2503 0.9172 0.3734
0.2503 0.9167 0.8758
0.7497 0.0833 0.1242
0.7497 0.0828 0.6266
0.7497 0.4172 0.1266
0.7497 0.4167 0.6242
0.7506 0.7499 0.1250
0.7506 0.7501 0.6250
```



Record 2
Theoretical PXRD pattern of Tb3Ce5P8 for Cu Kα, 1.54184 Å, from DFT lattice parameters and positions (GGA-PBE).

Top 8 peaks for 2θ = 10–80°, most intense first:
two_theta  I_rel
31.1  100
26.9  81
44.6  73
52.8  39
73.7  33
55.4  25
71.5  16
64.9  12

Cell and atoms:
```
Tb3Ce5P8
1.0
4.0666 2.3479 6.6331
-4.0666 2.3479 6.6331
0.0000 -4.6957 6.6331
Tb Ce P
3 5 8
direct
0.0000 0.5000 0.5000
0.5000 0.0000 0.5000
0.5000 0.5000 0.0000
0.0000 0.0000 0.0000
0.0000 0.0000 0.5000
0.0000 0.5000 0.0000
0.5000 0.0000 0.0000
0.5000 0.5000 0.5000
0.2504 0.2504 0.2504
0.2500 0.2500 0.7484
0.2500 0.7484 0.2500
0.2516 0.7500 0.7500
0.7484 0.2500 0.2500
0.7500 0.2516 0.7500
0.7500 0.7500 0.2516
0.7496 0.7496 0.7496
```



Record 3
Theoretical PXRD pattern of Tb4CeP5 for Cu Kα, 1.54184 Å, from DFT lattice parameters and positions (GGA-PBE).

Top 8 peaks for 2θ = 10–80°, most intense first:
two_theta  I_rel
31.4  100
27.1  84
44.9  73
53.2  41
74.3  33
55.8  26
72.2  17
65.4  12

Cell and atoms:
```
Tb4CeP5
1.0
-4.5109 4.5109 2.8540
4.5109 -4.5109 2.8540
4.5109 4.5109 -2.8540
Tb Ce P
4 1 5
direct
0.1002 0.3012 0.4014
0.3012 0.8998 0.2010
0.6988 0.1002 0.7990
0.8998 0.6988 0.5986
0.5000 0.5000 0.0000
0.0000 0.0000 0.0000
0.2011 0.5991 0.8002
0.4009 0.2011 0.6020
0.5991 0.7989 0.3980
0.7989 0.4009 0.1998
```



Record 4
Theoretical PXRD pattern of TbCeTeP for Cu Kα, 1.54184 Å, from DFT lattice parameters and positions (GGA-PBE).

Top 12 peaks for 2θ = 10–80°, most intense first:
two_theta  I_rel
32.2  100
29.8  63
43.9  54
25.2  42
38.0  23
55.4  21
58.4  21
73.2  18
26.2  15
48.4  15
36.6  13
68.2  13

Cell and atoms:
```
TbCeTeP
1.0
2.0646 1.1920 7.3668
-2.0646 1.1920 7.3668
0.0000 -2.3840 7.3668
Tb Ce Te P
1 1 1 1
direct
0.0000 0.0000 0.0000
0.8057 0.8057 0.8057
0.2374 0.2374 0.2374
0.4025 0.4025 0.4025
```



Record 5
Theoretical PXRD pattern of TbCe3Th4P8 for Cu Kα, 1.54184 Å, from DFT lattice parameters and positions (GGA-PBE).

Top 12 peaks for 2θ = 10–80°, most intense first:
two_theta  I_rel
30.8  100
26.6  96
44.1  74
52.2  36
54.7  20
72.7  17
72.8  17
64.1  12
52.3  12
70.6  10
13.2  7
54.8  7

Cell and atoms:
```
TbCe3Th4P8
1.0
4.1147 2.3756 6.6989
-4.1147 2.3756 6.6989
0.0000 -4.7513 6.6989
Tb Ce Th P
1 3 4 8
direct
0.0000 0.0000 0.0000
0.0000 0.5000 0.5000
0.5000 0.0000 0.5000
0.5000 0.5000 0.0000
0.0000 0.0000 0.5000
0.0000 0.5000 0.0000
0.5000 0.0000 0.0000
0.5000 0.5000 0.5000
0.2481 0.2481 0.7495
0.2481 0.7495 0.2481
0.2505 0.7519 0.7519
0.2512 0.2512 0.2512
0.7488 0.7488 0.7488
0.7495 0.2481 0.2481
0.7519 0.2505 0.7519
0.7519 0.7519 0.2505
```



Record 6
Theoretical PXRD pattern of Tb2CeThP4 for Cu Kα, 1.54184 Å, from DFT lattice parameters and positions (GGA-PBE).

Top 12 peaks for 2θ = 10–80°, most intense first:
two_theta  I_rel
31.0  100
26.8  68
44.4  37
44.5  37
52.6  34
26.9  23
55.1  20
73.4  17
73.6  17
64.7  12
52.8  11
71.2  9

Cell and atoms:
```
Tb2CeThP4
1.0
7.0419 0.0000 0.0000
0.0000 4.0838 0.0000
-2.3672 0.0000 6.6596
Tb Ce Th P
2 1 1 4
direct
0.0000 0.0000 0.0000
0.0000 0.5000 0.5000
0.5000 0.0000 0.5000
0.5000 0.5000 0.0000
0.2456 0.0000 0.7474
0.2466 0.5000 0.2498
0.7534 0.5000 0.7502
0.7544 0.0000 0.2526
```



Record 7
Theoretical PXRD pattern of Tb2Ce3TmP6 for Cu Kα, 1.54184 Å, from DFT lattice parameters and positions (GGA-PBE).

Top 12 peaks for 2θ = 10–80°, most intense first:
two_theta  I_rel
31.3  100
44.8  73
27.0  62
53.1  30
27.1  21
55.7  19
74.1  16
74.2  16
65.3  12
53.2  10
71.9  8
72.1  7

Cell and atoms:
```
Tb2Ce3TmP6
1.0
3.5042 -6.0705 0.0000
3.5042 6.0705 0.0000
-2.3371 0.0000 6.5901
Tb Ce Tm P
2 3 1 6
direct
0.1665 0.8335 0.0000
0.8335 0.1665 0.0000
0.0000 0.0000 0.5000
0.3328 0.6672 0.5000
0.6672 0.3328 0.5000
0.5000 0.5000 0.0000
0.0874 0.4179 0.7537
0.2519 0.2519 0.2470
0.4179 0.0874 0.7537
0.5821 0.9126 0.2463
0.7481 0.7481 0.7530
0.9126 0.5821 0.2463
```



Record 8
Theoretical PXRD pattern of CeTc5P3 for Cu Kα, 1.54184 Å, from DFT lattice parameters and positions (GGA-PBE).

Top 12 peaks for 2θ = 10–80°, most intense first:
two_theta  I_rel
33.0  100
39.0  80
31.0  73
45.8  62
34.7  48
42.4  42
26.9  36
49.0  34
29.3  29
36.6  27
57.1  24
69.3  24

Cell and atoms:
```
CeTc5P3
1.0
1.9822 -6.3221 0.0000
1.9822 6.3221 0.0000
0.0000 0.0000 11.6763
Ce Tc P
2 10 6
direct
0.1717 0.8283 0.7500
0.8283 0.1717 0.2500
0.0000 0.0000 0.0000
0.0000 0.0000 0.5000
0.1948 0.8052 0.0643
0.1948 0.8052 0.4357
0.4551 0.5449 0.6485
0.4551 0.5449 0.8515
0.5449 0.4551 0.1485
0.5449 0.4551 0.3515
0.8052 0.1948 0.5643
0.8052 0.1948 0.9357
0.1304 0.8696 0.2500
0.3760 0.6240 0.0497
0.3760 0.6240 0.4503
0.6240 0.3760 0.5497
0.6240 0.3760 0.9503
0.8696 0.1304 0.7500
```



Record 9
Theoretical PXRD pattern of Ce2Tc3P4 for Cu Kα, 1.54184 Å, from DFT lattice parameters and positions (GGA-PBE).

Top 12 peaks for 2θ = 10–80°, most intense first:
two_theta  I_rel
38.8  100
29.0  84
38.2  68
14.5  53
35.9  35
63.5  33
34.4  30
45.1  30
44.4  26
60.0  25
41.1  24
66.1  22

Cell and atoms:
```
Ce2Tc3P4
1.0
0.0000 5.0000 6.1174
2.6696 0.0000 6.1174
2.6696 5.0000 0.0000
Ce Tc P
2 3 4
direct
0.1441 0.1441 0.8559
0.8559 0.8559 0.1441
0.0000 0.0000 0.5000
0.5000 0.5000 0.0000
0.5000 0.5000 0.5000
0.1936 0.5086 0.4914
0.4914 0.8064 0.1936
0.5086 0.1936 0.8064
0.8064 0.4914 0.5086
```



Record 10
Theoretical PXRD pattern of Ce6Te5P for Cu Kα, 1.54184 Å, from DFT lattice parameters and positions (GGA-PBE).

Top 12 peaks for 2θ = 10–80°, most intense first:
two_theta  I_rel
28.5  100
40.8  48
40.7  24
50.5  12
59.0  11
67.0  10
66.7  10
66.8  9
74.2  7
50.7  6
50.3  6
74.4  5

Cell and atoms:
```
Ce6Te5P
1.0
3.8470 -6.6401 0.0000
3.8470 6.6401 0.0000
-2.5501 0.0000 7.2067
Ce Te P
6 5 1
direct
0.0757 0.3846 0.7308
0.2263 0.2263 0.2586
0.3846 0.0757 0.7308
0.6154 0.9243 0.2692
0.7737 0.7737 0.7414
0.9243 0.6154 0.2692
0.1771 0.8229 0.0000
0.3359 0.6641 0.5000
0.5000 0.5000 0.0000
0.6641 0.3359 0.5000
0.8229 0.1771 0.0000
0.0000 0.0000 0.5000
```



Record 11
Theoretical PXRD pattern of Ce4TeP3 for Cu Kα, 1.54184 Å, from DFT lattice parameters and positions (GGA-PBE).

Top 12 peaks for 2θ = 10–80°, most intense first:
two_theta  I_rel
31.4  100
29.5  78
43.6  58
25.6  24
43.5  23
25.0  21
54.7  20
72.4  18
53.5  14
46.3  13
70.2  13
71.4  12

Cell and atoms:
```
Ce4TeP3
1.0
4.1513 0.0000 0.0000
-2.0757 3.5951 0.0000
0.0000 0.0000 28.0976
Ce Te P
8 2 6
direct
0.0000 0.0000 0.1731
0.0000 0.0000 0.3269
0.0000 0.0000 0.6731
0.0000 0.0000 0.8269
0.3333 0.6667 0.0582
0.3333 0.6667 0.4418
0.6667 0.3333 0.5582
0.6667 0.3333 0.9418
0.3333 0.6667 0.2500
0.6667 0.3333 0.7500
0.0000 0.0000 0.0000
0.0000 0.0000 0.5000
0.3333 0.6667 0.6179
0.3333 0.6667 0.8821
0.6667 0.3333 0.1179
0.6667 0.3333 0.3821
```



Record 12
Theoretical PXRD pattern of Ce8Te3P4 for Cu Kα, 1.54184 Å, from DFT lattice parameters and positions (GGA-PBE).

Top 12 peaks for 2θ = 10–80°, most intense first:
two_theta  I_rel
29.6  100
42.3  72
29.6  50
25.7  21
25.4  20
52.9  19
42.8  19
52.1  18
41.9  17
69.7  15
69.5  15
14.6  12

Cell and atoms:
```
Ce8Te3P4
1.0
6.0300 -6.0402 0.0000
6.0300 6.0402 0.0000
-5.9046 0.0000 6.0502
Ce Te P
8 3 4
direct
0.2222 0.2222 0.4707
0.2289 0.2289 0.9767
0.2374 0.7626 0.0000
0.2379 0.7621 0.5000
0.7621 0.2379 0.5000
0.7626 0.2374 0.0000
0.7711 0.7711 0.0233
0.7778 0.7778 0.5293
0.0000 0.5000 0.5000
0.5000 0.0000 0.5000
0.5000 0.5000 0.5000
0.0000 0.0000 0.0000
0.0000 0.0000 0.5000
0.0000 0.5000 0.0000
0.5000 0.0000 0.0000
```



Number 7 is which compound?
Tb2Ce3TmP6